This entry pairs a crystal structure of NaCaGe2 with its simulated XRD peak list. Radiation: Cu Kα (λ = 1.5418 Å). Structure: the GGA-PBE geometry in Alexandria.

Largest 10 diffraction maxima, low angle first, 2θ from 10° to 90°:
2θ 18.4, 4.818 Å, rel. 83; 2θ 21.1, 4.219 Å, rel. 35; 2θ 30.8, 2.904 Å, rel. 48; 2θ 32.3, 2.772 Å, rel. 27; 2θ 34.5, 2.603 Å, rel. 71; 2θ 35.4, 2.536 Å, rel. 38; 2θ 39.5, 2.279 Å, rel. 100; 2θ 42.2, 2.143 Å, rel. 20; 2θ 45.3, 2.002 Å, rel. 26; 2θ 56.7, 1.623 Å, rel. 30

Lattice parameters (Å, degrees): 4.004 5.870 8.437 90.00 90.00 90.00
Space group Pmc2_1 (No. 26)
Asymmetric unit:
Na 0.000 0.142 0.000 x2
Ca 0.500 0.365 0.361 x2
Ge 0.000 0.368 0.641 x2
Ge 0.500 0.123 0.717 x2